ThCdMo3O12: calculated powder X-ray diffraction pattern (Cu Kα, 1.54184 Å), based on a crystal structure in the Materials Project, relaxed with GGA+U.
Lines closer than 0.1° are merged.

Crystal structure
abc: 10.0585 10.0585 6.4303
angles: 90.00 90.00 120.00
Space group P6_3/m (No. 176)
One atom of each set of equivalent atoms:
1 Th 0.3333 0.6667 0.2500 (multiplicity 2)
2 Cd 0.0000 0.0000 0.0000 (multiplicity 2)
3 Mo 0.0967 0.3879 0.7500 (multiplicity 6)
4 O 0.0254 0.1806 0.7500 (multiplicity 6)
5 O 0.0555 0.5703 0.2500 (multiplicity 6)
6 O 0.2123 0.4715 0.5241 (multiplicity 12)

Largest 8 diffraction maxima, in order of rising 2θ, 10 to 90 degrees two-theta:
17.64°, intensity 52; 22.44°, intensity 55; 24.69°, intensity 100; 27.08°, intensity 29; 30.50°, intensity 43; 30.79°, intensity 31; 39.16°, intensity 34; 47.65°, intensity 35



Co2C2O7: calculated powder X-ray diffraction pattern (Cu Kα, 1.54184 Å), based on a crystal structure in the Materials Project, relaxed with GGA+U.
Lines closer than 0.1° are merged.

Crystal structure
abc: 8.047 7.880 11.407
angles: 90.00 101.33 90.00
Space group P2_1/c (No. 14)
One atom of each set of equivalent atoms:
1 Co 0.142 0.127 0.117 (multiplicity 4)
2 Co 0.296 0.568 0.874 (multiplicity 4)
3 C 0.226 0.621 0.454 (multiplicity 4)
4 C 0.339 0.086 0.604 (multiplicity 4)
5 O 0.081 0.704 0.441 (multiplicity 4)
6 O 0.162 0.532 0.732 (multiplicity 4)
7 O 0.240 0.064 0.500 (multiplicity 4)
8 O 0.243 0.032 0.993 (multiplicity 4)
9 O 0.291 0.190 0.679 (multiplicity 4)
10 O 0.353 0.701 0.427 (multiplicity 4)
11 O 0.478 0.001 0.633 (multiplicity 4)

Largest 8 diffraction maxima, in order of rising 2θ, 10 to 90 degrees two-theta:
15.85°, intensity 12; 16.75°, intensity 100; 19.46°, intensity 84; 22.55°, intensity 39; 27.18°, intensity 11; 30.18°, intensity 11; 30.64°, intensity 11; 33.41°, intensity 19